Starting from a GGA+U-relaxed structure, the XRD peak list of Mn2PClO4 was calculated for a wavelength of 1.5418 Å.

Top 12 peaks for 2θ from 10° to 90°, sorted by position:
18.82°, intensity 18, (2 1 0)
23.57°, intensity 58, (2 0 1)
25.60°, intensity 16, (3 1 0)
29.27°, intensity 100, (1 2 1)
31.01°, intensity 23, (4 0 0)
35.97°, intensity 17, (0 0 2)
36.79°, intensity 47, (3 2 1)
43.18°, intensity 19, (1 2 2)
44.29°, intensity 18, (0 4 0)
48.22°, intensity 17, (4 0 2)
48.87°, intensity 33, (3 2 2)
50.89°, intensity 18, (6 0 1)

Unit cell a=11.5366 b=8.1801 c=4.9921 alpha=90.00 beta=90.00 gamma=90.00
Space group Pna2_1 (No. 33)
Inequivalent atoms, fractional coordinates:
Mn1 0.1197 0.1040 0.0000
Mn2 0.1242 0.6553 0.9965
P1 0.1641 0.8784 0.5473
Cl1 0.0633 0.3798 0.7461
O1 0.0452 0.8753 0.7011
O2 0.1493 0.8790 0.2393
O3 0.2255 0.0366 0.6458
O4 0.2294 0.7236 0.6462